1.
For DyEr2Tm4Te2Pd2, a structure optimized by DFT (GGA-PBE) gives the theoretical powder diffractogram in this record (Cu Kα (weighted mean of Kα1 and Kα2)).
Peak positions follow from Bragg's law for the DFT cell and can differ from measured ones.

Largest 10 diffraction maxima, by angle, 10 to 90 degrees two-theta:
Position (°2θ)  I (rel.)
28.61  313
30.13  679
33.01  605
33.83  1000
34.33  477
36.42  208
38.27  203
46.51  279
50.96  195
58.23  303

Atomic structure:
abc: 9.3427 9.3427 9.3427
angles: 155.87 67.00 118.56
Atoms (fractional coordinates):
Dy 0.0000 0.0000 0.0000
Er 0.0578 0.3747 0.6830
Er 0.6917 0.3747 0.3170
Tm 0.0911 0.7350 0.3561
Tm 0.3789 0.7350 0.6439
Tm 0.4540 0.5835 0.8705
Tm 0.7130 0.5835 0.1295
Te 0.3384 0.3384 0.0000
Te 0.7341 0.2341 0.5000
Pd 0.3089 0.0715 0.2374
Pd 0.8341 0.0715 0.7626

2.
For NaSi4Pt4, a structure optimized by DFT (GGA-PBE) gives the theoretical powder diffractogram in this record (Cu Kα (weighted mean of Kα1 and Kα2)).
Peak positions follow from Bragg's law for the DFT cell and can differ from measured ones.

Largest 10 diffraction maxima, by angle, 10 to 90 degrees two-theta:
Position (°2θ)  I (rel.)
15.02  250
21.30  462
30.69  1000
33.97  290
38.62  222
44.52  171
46.15  208
49.07  554
61.70  198
77.42  147

Atomic structure:
abc: 6.3442 6.3442 6.3442
angles: 97.76 97.76 136.88
Atoms (fractional coordinates):
Na 0.0000 0.0000 0.0000
Si 0.0877 0.5879 0.2716
Si 0.3162 0.8161 0.7284
Si 0.5879 0.3162 0.5001
Si 0.8161 0.0877 0.4999
Pt 0.0259 0.8768 0.4985
Pt 0.3782 0.5273 0.5015
Pt 0.5273 0.0259 0.1491
Pt 0.8768 0.3782 0.8509

3.
For Hg2Ir9, a structure optimized by DFT (GGA-PBE) gives the theoretical powder diffractogram in this record (Cu Kα (weighted mean of Kα1 and Kα2)).
Peak positions follow from Bragg's law for the DFT cell and can differ from measured ones.

Largest 10 diffraction maxima, by angle, 10 to 90 degrees two-theta:
Position (°2θ)  I (rel.)
39.61  1000
39.91  340
40.50  552
45.40  356
46.92  604
66.93  179
67.71  329
81.38  129
81.58  267
86.42  110

Atomic structure:
abc: 2.7680 2.7680 36.1399
angles: 90.00 90.00 120.00
Atoms (fractional coordinates):
Hg 0.3333 0.6667 0.3186
Hg 0.6667 0.3333 0.6814
Ir 0.0000 0.0000 0.0000
Ir 0.0000 0.0000 0.1843
Ir 0.0000 0.0000 0.8157
Ir 0.3333 0.6667 0.1231
Ir 0.3333 0.6667 0.7552
Ir 0.3333 0.6667 0.9385
Ir 0.6667 0.3333 0.0615
Ir 0.6667 0.3333 0.2448
Ir 0.6667 0.3333 0.8769

4.
For ErLu2Fe3Co6, a structure optimized by DFT (GGA-PBE) gives the theoretical powder diffractogram in this record (Cu Kα (weighted mean of Kα1 and Kα2)).
Peak positions follow from Bragg's law for the DFT cell and can differ from measured ones.

Largest 10 diffraction maxima, by angle, 10 to 90 degrees two-theta:
Position (°2θ)  I (rel.)
20.80  175
33.72  544
35.82  602
36.91  399
41.78  426
42.81  1000
63.03  188
69.19  229
70.89  244
75.91  221

Atomic structure:
abc: 8.3603 8.3603 8.3603
angles: 34.90 34.90 34.90
Atoms (fractional coordinates):
Er 0.0000 0.0000 0.0000
Lu 0.1410 0.1410 0.1410
Lu 0.8590 0.8590 0.8590
Fe 0.3340 0.3340 0.3340
Fe 0.5000 0.5000 0.5000
Fe 0.6660 0.6660 0.6660
Co 0.0794 0.5845 0.5845
Co 0.4155 0.4155 0.9206
Co 0.4155 0.9206 0.4155
Co 0.5845 0.0794 0.5845
Co 0.5845 0.5845 0.0794
Co 0.9206 0.4155 0.4155

5.
For NaGe5Mo3, a structure optimized by DFT (GGA-PBE) gives the theoretical powder diffractogram in this record (Cu Kα (weighted mean of Kα1 and Kα2)).
Peak positions follow from Bragg's law for the DFT cell and can differ from measured ones.

Largest 10 diffraction maxima, by angle, 10 to 90 degrees two-theta:
Position (°2θ)  I (rel.)
13.22  629
18.78  356
32.82  456
35.54  169
38.10  154
40.47  1000
42.75  167
47.08  701
68.84  212
82.98  298

Atomic structure:
abc: 5.4552 5.4552 6.6984
angles: 90.00 90.00 120.00
Atoms (fractional coordinates):
Na 0.0000 0.0000 0.0000
Ge 0.0000 0.0000 0.5000
Ge 0.3333 0.6667 0.1872
Ge 0.3333 0.6667 0.8128
Ge 0.6667 0.3333 0.1872
Ge 0.6667 0.3333 0.8128
Mo 0.0000 0.5000 0.5000
Mo 0.5000 0.0000 0.5000
Mo 0.5000 0.5000 0.5000

6.
For Nd2I3Br, a structure optimized by DFT (GGA-PBE) gives the theoretical powder diffractogram in this record (Cu Kα (weighted mean of Kα1 and Kα2)).
Peak positions follow from Bragg's law for the DFT cell and can differ from measured ones.

Largest 10 diffraction maxima, by angle, 10 to 90 degrees two-theta:
Position (°2θ)  I (rel.)
11.36  601
26.09  322
27.19  1000
28.54  410
31.89  503
33.83  271
35.91  292
42.88  258
43.34  554
65.56  293

Atomic structure:
abc: 4.1753 4.1753 31.1545
angles: 90.00 90.00 120.00
Atoms (fractional coordinates):
Nd 0.0000 0.0000 0.0000
Nd 0.0000 0.0000 0.2531
Nd 0.3333 0.6667 0.5038
Nd 0.3333 0.6667 0.7570
I 0.0000 0.0000 0.4370
I 0.0000 0.0000 0.6907
I 0.3333 0.6667 0.1863
I 0.6667 0.3333 0.0663
I 0.6667 0.3333 0.3199
I 0.6667 0.3333 0.5706
Br 0.3333 0.6667 0.9417
Br 0.6667 0.3333 0.8153

> Number 6 is which compound?

Nd2I3Br

> Which formula does entry 2 have?

NaSi4Pt4